# Rb3V2ZnO8
Simulated powder XRD pattern, a wavelength of 1.5418 Å. Input: a DFT-relaxed cell (GGA+U, Alexandria).

Atomic structure:
```
14
Lattice="5.9196 0.0000 0.0000 -2.9598 5.1266 0.0000 0.0000 0.0000 7.8840" Properties=species:S:1:pos:R:3 pbc="T T T"
Rb 0.0000 0.0000 0.0000
Rb 0.0000 3.4177 5.5193
Rb 2.9598 1.7089 2.3647
V 0.0000 3.4177 2.1360
V 2.9598 1.7089 5.7480
Zn 0.0000 0.0000 3.9420
O 0.0000 1.7523 2.6983
O -1.4423 4.2504 2.6983
O 0.0000 3.4177 0.4267
O 1.5175 0.8762 5.1857
O 1.4423 4.2504 2.6983
O 2.9598 1.7089 7.4573
O 4.4021 0.8762 5.1857
O 2.9598 3.3742 5.1857
```

Principal peaks in the range 10° ≤ 2θ ≤ 80°, sorted by position:
2θ (°)	I/Imax	index
28.6	86	0 1 2
30.2	100	1 1 0
42.0	44	2 0 2
52.6	30	1 2 2
53.6	19	3 0 0
56.1	18	1 1 4